[1]
NiSn2O6F6: calculated X-ray powder pattern (copper Kα), based on a structure optimized by DFT (GGA+U).
Peak positions follow from Bragg's law for the DFT cell and can differ from measured ones.

Structural model:
a b c (Å): 5.7360 6.8120 7.1149
angles (deg): 82.67 82.47 89.90
Space group P-1 (No. 2)
One atom of each set of equivalent atoms:
Ni 0.0000 0.0000 0.0000 x1
Sn 0.4900 0.1471 0.6865 x2
O 0.0629 0.6710 0.8279 x2
O 0.1092 0.4102 0.2179 x2
O 0.1705 0.1617 0.7954 x2
F 0.3032 0.6479 0.4532 x2
F 0.3100 0.8889 0.0974 x2
F 0.3916 0.1174 0.3953 x2

Most intense lines, 5° ≤ 2θ ≤ 70°, by angle:
hkl, Position (°2θ), intensity
0 1 0, 13.11, 100
0 1 1, 17.04, 43
1 0 1, 18.77, 36
1 -1 1, 23.76, 55
1 1 -1, 26.16, 38
0 2 1, 27.82, 52

[2]
Fe2PO5: calculated X-ray powder pattern (copper Kα), based on a structure optimized by DFT (GGA+U).
Peak positions follow from Bragg's law for the DFT cell and can differ from measured ones.

Structural model:
a b c (Å): 7.4752 6.5313 7.5889
angles (deg): 90.00 90.00 90.00
Space group Pnma (No. 62)
One atom of each set of equivalent atoms:
Fe 0.0000 0.0000 0.0000 x4
Fe 0.1507 0.2500 0.2850 x4
P 0.1225 0.7500 0.3720 x4
O 0.0498 0.2500 0.5196 x4
O 0.0987 0.7500 0.8575 x4
O 0.1316 0.5595 0.2496 x8
O 0.2097 0.2500 0.9954 x4

Most intense lines, 5° ≤ 2θ ≤ 70°, by angle:
hkl, Position (°2θ), intensity
1 0 1, 16.65, 33
0 1 1, 17.92, 29
2 0 1, 26.58, 100
1 2 1, 32.15, 91
2 0 2, 33.66, 32
3 2 3, 59.24, 31

[3]
Er5MgMo2O12: calculated X-ray powder pattern (copper Kα), based on a structure optimized by DFT (GGA+U).
Peak positions follow from Bragg's law for the DFT cell and can differ from measured ones.

Structural model:
a b c (Å): 12.4090 5.9989 7.2606
angles (deg): 90.00 106.52 90.00
Space group C2/m (No. 12)
One atom of each set of equivalent atoms:
Er 0.0000 0.0000 0.0000 x2
Er 0.2012 0.5000 0.3591 x4
Er 0.2113 0.5000 0.8572 x4
Mg 0.0000 0.5000 0.0000 x2
Mo 0.0000 0.2374 0.5000 x4
O 0.0045 0.5000 0.2970 x4
O 0.0110 0.0000 0.3034 x4
O 0.1386 0.2672 0.0582 x8
O 0.1766 0.2704 0.6052 x8

Most intense lines, 5° ≤ 2θ ≤ 70°, by angle:
hkl, Position (°2θ), intensity
3 1 0, 26.95, 79
1 1 -2, 28.74, 100
0 2 0, 29.79, 25
4 0 0, 30.05, 31
1 1 2, 32.46, 34
4 0 -2, 33.61, 26

[4]
Li2MnF6: calculated X-ray powder pattern (copper Kα), based on a structure optimized by DFT (GGA+U).
Peak positions follow from Bragg's law for the DFT cell and can differ from measured ones.

Structural model:
a b c (Å): 5.0828 5.2213 9.0652
angles (deg): 90.00 124.05 90.00
Space group Pc (No. 7)
One atom of each set of equivalent atoms:
Li 0.0000 0.2058 0.0000 x2
Li 0.2449 0.2619 0.7418 x2
Mn 0.7412 0.2496 0.2417 x2
F 0.0731 0.1799 0.4720 x2
F 0.3846 0.3027 0.0119 x2
F 0.4852 0.0692 0.2880 x2
F 0.6631 0.4433 0.8145 x2
F 0.8431 0.0437 0.6739 x2
F 0.9922 0.4197 0.1832 x2

Most intense lines, 5° ≤ 2θ ≤ 70°, by angle:
hkl, Position (°2θ), intensity
0 1 1, 20.72, 100
1 0 0, 21.11, 93
0 0 2, 23.69, 51
1 1 -1, 24.44, 87
1 0 2, 40.14, 38
2 1 -3, 41.31, 30